(1)
For Ni3Se4Cl2O10, a structure optimized by DFT (GGA+U) gives the computed PXRD pattern in this record (a wavelength of 1.5418 Å).
Lines closer than 0.1° are merged.

Most intense lines, 10° ≤ 2θ ≤ 90°, by intensity:
two_theta	d_spacing	I (rel.)
30.05	2.974	100
25.22	3.531	50
13.91	6.365	23
42.63	2.121	20
34.35	2.610	19
36.09	2.488	19
28.30	3.154	18
36.41	2.468	16
22.73	3.913	16
31.45	2.845	15

Structural model:
a = 7.9545 Å, b = 7.9545 Å, c = 5.8331 Å
α = 98.22°, β = 98.22°, γ = 123.79°
Fractional coordinates of all 19 atoms:
Ni 0.0000 0.0000 0.0000
Ni 0.1281 0.8719 0.5000
Ni 0.8719 0.1281 0.5000
Se 0.1815 0.5041 0.2226
Se 0.4959 0.8185 0.7774
Se 0.5041 0.1815 0.2226
Se 0.8185 0.4959 0.7774
Cl 0.1982 0.1982 0.7469
Cl 0.8018 0.8018 0.2531
O 0.0289 0.2480 0.2378
O 0.0378 0.5914 0.2870
O 0.2480 0.0289 0.2378
O 0.3890 0.6110 0.5000
O 0.4086 0.9622 0.7130
O 0.5914 0.0378 0.2870
O 0.6110 0.3890 0.5000
O 0.7520 0.9711 0.7622
O 0.9622 0.4086 0.7130
O 0.9711 0.7520 0.7622

***

(2)
For TlV2As2O7, a structure optimized by DFT (GGA+U) gives the computed PXRD pattern in this record (a wavelength of 1.5418 Å).
Lines closer than 0.1° are merged.

Most intense lines, 10° ≤ 2θ ≤ 90°, by intensity:
two_theta	d_spacing	I (rel.)
22.93	3.878	100
25.27	3.524	92
31.57	2.834	76
45.44	1.996	50
52.54	1.742	26
10.48	8.438	21
39.38	2.288	20
51.33	1.780	19
40.87	2.208	19
56.23	1.636	17

Structural model:
a = 9.0504 Å, b = 9.0504 Å, c = 9.0504 Å
α = 36.49°, β = 36.49°, γ = 36.49°
Fractional coordinates of all 12 atoms:
Tl 0.0000 0.0000 0.0000
V 0.4276 0.4276 0.4276
V 0.5724 0.5724 0.5724
As 0.2262 0.2262 0.2262
As 0.7738 0.7738 0.7738
O 0.0483 0.5192 0.6461
O 0.3539 0.4808 0.9517
O 0.4808 0.9517 0.3539
O 0.5000 0.5000 0.5000
O 0.5192 0.6461 0.0483
O 0.6461 0.0483 0.5192
O 0.9517 0.3539 0.4808